# 1
Theoretical PXRD pattern of Tm2Sc2Pb2N for Cu Kα (weighted mean of Kα1 and Kα2), from a DFT-relaxed cell (GGA-PBE, Alexandria).
Kinematic intensities with the Lorentz-polarization factor, no thermal factor.

Largest 8 diffraction maxima, in order of rising 2θ, 10° ≤ 2θ ≤ 90°:
(hkl)  2θ/deg  I/Imax
0 0 4  22.66  44
1 1 0  28.10  90
1 1 2  30.37  27
1 1 4  36.40  100
2 0 0  40.16  56
2 0 4  46.60  28
2 0 6  53.80  28
3 1 4  70.52  29

Atomic structure:
Cell: 4.491 4.491 15.697 Å, 90.00 90.00 90.00°
Space group I4/mmm (No. 139)
Unique sites:
Tm (0.000, 0.000, 0.155)
Sc (0.000, 0.500, 0.000)
Pb (0.000, 0.000, 0.358)
N (0.000, 0.000, 0.000)

# 2
Theoretical PXRD pattern of MgGa2Pb2Au7 for Cu Kα (weighted mean of Kα1 and Kα2), from a DFT-relaxed cell (GGA-PBE, Alexandria).
Kinematic intensities with the Lorentz-polarization factor, no thermal factor.

Largest 8 diffraction maxima, in order of rising 2θ, 10° ≤ 2θ ≤ 90°:
(hkl)  2θ/deg  I/Imax
2 0 -2  30.63  33
0 2 1  31.22  55
2 0 -3  33.16  61
2 0 2  33.63  37
1 1 4  34.65  57
0 2 3  36.20  63
0 2 4  40.11  28
2 2 -1  42.90  100

Atomic structure:
Cell: 6.110 5.853 14.152 Å, 90.00 97.13 90.00°
Space group C2/m (No. 12)
Unique sites:
Mg (0.000, 0.000, 0.000)
Ga (0.073, 0.500, 0.259)
Pb (0.102, 0.000, 0.359)
Au (0.000, 0.500, 0.000)
Au (0.166, 0.500, 0.441)
Au (0.208, 0.250, 0.855)

# 3
Theoretical PXRD pattern of Mg3Cd2Hg5 for Cu Kα (weighted mean of Kα1 and Kα2), from a DFT-relaxed cell (GGA-PBE, Alexandria).
Kinematic intensities with the Lorentz-polarization factor, no thermal factor.

Largest 8 diffraction maxima, in order of rising 2θ, 10° ≤ 2θ ≤ 90°:
(hkl)  2θ/deg  I/Imax
1 3 0  21.31  31
3 1 0  27.45  42
1 1 -2  27.76  31
2 2 -2  32.55  70
3 3 -1  34.09  45
2 0 2  35.07  65
1 5 1  37.09  100
4 2 0  38.24  45

Atomic structure:
Cell: 10.170 13.760 6.693 Å, 90.00 99.91 90.00°
Space group C2/c (No. 15)
Unique sites:
Mg (0.000, 0.038, 0.250)
Mg (0.148, 0.362, 0.597)
Cd (0.126, 0.267, 0.126)
Hg (0.000, 0.469, 0.250)
Hg (0.113, 0.158, 0.605)
Hg (0.227, 0.056, 0.024)

# 4
Theoretical PXRD pattern of Ba2SnHg8 for Cu Kα (weighted mean of Kα1 and Kα2), from a DFT-relaxed cell (GGA-PBE, Alexandria).
Kinematic intensities with the Lorentz-polarization factor, no thermal factor.

Largest 8 diffraction maxima, in order of rising 2θ, 10° ≤ 2θ ≤ 90°:
(hkl)  2θ/deg  I/Imax
1 1 2  28.01  35
1 1 3  31.99  100
0 0 5  34.28  15
2 0 0  34.78  62
1 1 4  36.92  17
2 0 5  49.64  22
2 2 0  50.01  22
3 1 3  60.61  33

Atomic structure:
Cell: 5.159 5.159 13.078 Å, 90.00 90.00 90.00°
Space group P4/mmm (No. 123)
Unique sites:
Ba (0.000, 0.000, 0.192)
Sn (0.000, 0.000, 0.500)
Hg (0.000, 0.500, 0.000)
Hg (0.000, 0.500, 0.371)
Hg (0.500, 0.500, 0.216)

# 5
Theoretical PXRD pattern of Ac2GaAg3 for Cu Kα (weighted mean of Kα1 and Kα2), from a DFT-relaxed cell (GGA-PBE, Alexandria).
Kinematic intensities with the Lorentz-polarization factor, no thermal factor.

Largest 8 diffraction maxima, in order of rising 2θ, 10° ≤ 2θ ≤ 90°:
(hkl)  2θ/deg  I/Imax
0 1 3  25.39  20
1 1 2  30.42  100
0 1 5  33.16  21
1 0 5  33.41  35
0 2 0  40.31  20
2 0 0  41.16  18
0 1 7  42.45  19
1 2 5  53.32  18

Atomic structure:
Cell: 4.386 4.474 16.949 Å, 90.00 90.00 90.00°
Space group Imm2 (No. 44)
Unique sites:
Ac (0.000, 0.000, 0.000)
Ac (0.000, 0.500, 0.247)
Ga (0.000, 0.000, 0.584)
Ag (0.000, 0.000, 0.424)
Ag (0.000, 0.500, 0.661)
Ag (0.000, 0.500, 0.826)

# 6
Theoretical PXRD pattern of TbPm12Nd2 for Cu Kα (weighted mean of Kα1 and Kα2), from a DFT-relaxed cell (GGA-PBE, Alexandria).
Kinematic intensities with the Lorentz-polarization factor, no thermal factor.

Largest 8 diffraction maxima, in order of rising 2θ, 10° ≤ 2θ ≤ 90°:
(hkl)  2θ/deg  I/Imax
2 0 2  28.07  42
2 0 3  29.17  30
2 0 4  30.65  36
1 1 7  31.26  100
0 0 9  31.64  31
2 1 4  33.62  25
2 2 0  38.80  30
3 1 9  54.86  26

Atomic structure:
Cell: 6.565 6.565 25.450 Å, 90.00 90.00 90.00°
Space group P4/nbm (No. 125, origin choice 2)
Unique sites:
Tb (0.250, 0.750, 0.000)
Pm (0.065, 0.565, 0.114)
Pm (0.083, 0.583, 0.562)
Pm (0.250, 0.250, 0.215)
Pm (0.250, 0.250, 0.338)
Nd (0.250, 0.750, 0.268)